Starting from a cell relaxed with PBE, the X-ray powder pattern of CeCd3Ag3 was calculated for a wavelength of 1.5418 Å.

Main lines, in order of falling intensity (2θ from 10° to 90°):
- 41.55 deg, rel. 100
- 13.58 deg, rel. 60
- 23.64 deg, rel. 54
- 43.91 deg, rel. 52
- 19.25 deg, rel. 43
- 27.36 deg, rel. 36
- 60.22 deg, rel. 24
- 33.67 deg, rel. 17
- 30.66 deg, rel. 16
- 85.57 deg, rel. 16

Unit cell a=9.221 b=9.221 c=9.221 alpha=60.00 beta=60.00 gamma=60.00
Fractional positions:
Ce 0.250 0.250 0.250
Ce 0.750 0.750 0.750
Cd 0.157 0.157 0.843
Cd 0.157 0.843 0.157
Cd 0.157 0.843 0.843
Cd 0.843 0.157 0.157
Cd 0.843 0.157 0.843
Cd 0.843 0.843 0.157
Ag 0.352 0.352 0.648
Ag 0.352 0.648 0.352
Ag 0.352 0.648 0.648
Ag 0.648 0.352 0.352
Ag 0.648 0.352 0.648
Ag 0.648 0.648 0.352

Starting from a cell relaxed with PBE, the X-ray powder pattern of Ce2CdAg3 was calculated for a wavelength of 1.5418 Å.

Main lines, in order of falling intensity (2θ from 10° to 90°):
- 35.03 deg, rel. 100
- 35.99 deg, rel. 99
- 51.09 deg, rel. 33
- 64.07 deg, rel. 33
- 70.18 deg, rel. 25
- 64.69 deg, rel. 17
- 86.82 deg, rel. 15
- 76.31 deg, rel. 10
- 58.00 deg, rel. 8
- 46.24 deg, rel. 5

Unit cell a=9.982 b=9.210 c=5.919 alpha=79.31 beta=65.05 gamma=35.64
Fractional positions:
Ce 0.228 0.772 0.772
Ce 0.250 0.250 0.250
Ce 0.750 0.750 0.750
Ce 0.772 0.228 0.228
Cd 0.335 0.335 0.665
Cd 0.665 0.665 0.335
Ag 0.167 0.167 0.833
Ag 0.169 0.665 0.335
Ag 0.335 0.831 0.169
Ag 0.665 0.169 0.831
Ag 0.831 0.335 0.665
Ag 0.833 0.833 0.167

Starting from a cell relaxed with PBE, the X-ray powder pattern of Ce3Cd2Ag4 was calculated for a wavelength of 1.5418 Å.

Main lines, in order of falling intensity (2θ from 10° to 90°):
- 35.88 deg, rel. 100
- 34.89 deg, rel. 85
- 63.90 deg, rel. 23
- 69.94 deg, rel. 18
- 34.95 deg, rel. 17
- 50.98 deg, rel. 17
- 64.48 deg, rel. 17
- 50.86 deg, rel. 17
- 63.75 deg, rel. 11
- 76.05 deg, rel. 10

Unit cell a=5.947 b=5.947 c=9.235 alpha=120.04 beta=120.04 gamma=49.75
Fractional positions:
Ce 0.000 0.000 0.000
Ce 0.336 0.336 0.330
Ce 0.664 0.664 0.670
Cd 0.384 0.384 0.718
Cd 0.616 0.616 0.282
Ag 0.056 0.056 0.390
Ag 0.276 0.276 0.943
Ag 0.724 0.724 0.057
Ag 0.944 0.944 0.610

Starting from a cell relaxed with PBE, the X-ray powder pattern of Ce2CdAg6 was calculated for a wavelength of 1.5418 Å.

Main lines, in order of falling intensity (2θ from 10° to 90°):
- 36.57 deg, rel. 100
- 35.76 deg, rel. 100
- 52.08 deg, rel. 33
- 65.31 deg, rel. 32
- 71.86 deg, rel. 26
- 65.83 deg, rel. 17
- 88.63 deg, rel. 14
- 77.73 deg, rel. 10
- 59.45 deg, rel. 8
- 47.14 deg, rel. 6

Unit cell a=8.512 b=8.512 c=3.109 alpha=90.00 beta=90.00 gamma=120.00
Fractional positions:
Ce 0.333 0.667 0.000
Ce 0.667 0.333 0.000
Cd 0.000 0.000 0.000
Ag 0.000 0.328 0.500
Ag 0.000 0.672 0.500
Ag 0.328 0.000 0.500
Ag 0.328 0.328 0.500
Ag 0.672 0.000 0.500
Ag 0.672 0.672 0.500

Starting from a cell relaxed with PBE, the X-ray powder pattern of Ce2CdAg was calculated for a wavelength of 1.5418 Å.

Main lines, in order of falling intensity (2θ from 10° to 90°):
- 33.80 deg, rel. 100
- 33.60 deg, rel. 95
- 39.86 deg, rel. 59
- 55.93 deg, rel. 43
- 37.57 deg, rel. 37
- 68.64 deg, rel. 23
- 68.28 deg, rel. 19
- 65.40 deg, rel. 16
- 65.28 deg, rel. 13
- 71.09 deg, rel. 11

Unit cell a=3.185 b=4.788 c=6.423 alpha=90.00 beta=90.00 gamma=90.00
Fractional positions:
Ce 0.000 0.000 0.222
Ce 0.000 0.000 0.778
Cd 0.500 0.500 0.500
Ag 0.500 0.500 0.000

Starting from a cell relaxed with PBE, the X-ray powder pattern of CeCd12Ag6 was calculated for a wavelength of 1.5418 Å.

Main lines, in order of falling intensity (2θ from 10° to 90°):
- 31.09 deg, rel. 100
- 37.23 deg, rel. 76
- 31.67 deg, rel. 69
- 37.73 deg, rel. 65
- 45.87 deg, rel. 61
- 41.53 deg, rel. 54
- 40.84 deg, rel. 50
- 72.70 deg, rel. 26
- 23.57 deg, rel. 24
- 75.64 deg, rel. 22

Unit cell a=7.915 b=7.915 c=7.915 alpha=105.10 beta=105.10 gamma=105.10
Fractional positions:
Ce 0.000 0.000 0.000
Cd 0.113 0.500 0.887
Cd 0.113 0.887 0.500
Cd 0.132 0.382 0.382
Cd 0.382 0.132 0.382
Cd 0.382 0.382 0.132
Cd 0.500 0.113 0.887
Cd 0.500 0.887 0.113
Cd 0.618 0.618 0.868
Cd 0.618 0.868 0.618
Cd 0.868 0.618 0.618
Cd 0.887 0.113 0.500
Cd 0.887 0.500 0.113
Ag 0.291 0.291 0.705
Ag 0.291 0.705 0.291
Ag 0.295 0.709 0.709
Ag 0.705 0.291 0.291
Ag 0.709 0.295 0.709
Ag 0.709 0.709 0.295

Starting from a cell relaxed with PBE, the X-ray powder pattern of CeCd8Ag4 was calculated for a wavelength of 1.5418 Å.

Main lines, in order of falling intensity (2θ from 10° to 90°):
- 36.14 deg, rel. 100
- 36.67 deg, rel. 69
- 41.03 deg, rel. 69
- 35.97 deg, rel. 66
- 31.22 deg, rel. 48
- 40.38 deg, rel. 36
- 65.11 deg, rel. 31
- 64.77 deg, rel. 25
- 59.54 deg, rel. 22
- 40.55 deg, rel. 22

Unit cell a=7.602 b=7.602 c=7.602 alpha=97.87 beta=97.87 gamma=136.58
Fractional positions:
Ce 0.000 0.000 0.000
Cd 0.000 0.345 0.345
Cd 0.000 0.655 0.655
Cd 0.287 0.500 0.787
Cd 0.345 0.000 0.345
Cd 0.500 0.287 0.787
Cd 0.500 0.713 0.213
Cd 0.655 0.000 0.655
Cd 0.713 0.500 0.213
Ag 0.000 0.000 0.500
Ag 0.000 0.500 0.000
Ag 0.500 0.000 0.000
Ag 0.500 0.500 0.500

Starting from a cell relaxed with PBE, the X-ray powder pattern of Ce2CdAgIr was calculated for a wavelength of 1.5418 Å.

Main lines, in order of falling intensity (2θ from 10° to 90°):
- 31.60 deg, rel. 100
- 37.07 deg, rel. 79
- 13.53 deg, rel. 59
- 44.15 deg, rel. 46
- 29.71 deg, rel. 43
- 40.04 deg, rel. 42
- 32.41 deg, rel. 42
- 35.09 deg, rel. 39
- 36.06 deg, rel. 28
- 33.26 deg, rel. 28

Unit cell a=7.932 b=4.102 c=8.081 alpha=90.00 beta=109.63 gamma=90.00
Fractional positions:
Ce 0.006 0.250 0.213
Ce 0.347 0.750 0.613
Ce 0.653 0.250 0.387
Ce 0.994 0.750 0.787
Cd 0.322 0.750 0.186
Cd 0.678 0.250 0.814
Ag 0.358 0.250 0.951
Ag 0.642 0.750 0.049
Ir 0.107 0.250 0.611
Ir 0.893 0.750 0.389